Nb9Fe3Ge2: theoretical powder diffractogram (copper Kα), based on the PBE geometry in the Materials Project.
Kinematic intensities with the Lorentz-polarization factor, no thermal factor.

Structural model:
```
Nb9Fe3Ge2
1.0
0.0000 9.5225 9.5726
2.5216 0.0000 9.5726
2.5216 9.5225 0.0000
Nb Fe Ge
18 6 4
Direct
0.0671 0.2070 0.7930 Nb
0.0911 0.6692 0.3308 Nb
0.1677 0.4102 0.5898 Nb
0.2070 0.0671 0.9329 Nb
0.2440 0.7560 0.7560 Nb
0.2956 0.5686 0.4314 Nb
0.3308 0.9089 0.0911 Nb
0.4102 0.1677 0.8323 Nb
0.4314 0.7044 0.2956 Nb
0.5686 0.2956 0.7044 Nb
0.5898 0.8323 0.1677 Nb
0.6692 0.0911 0.9089 Nb
0.7044 0.4314 0.5686 Nb
0.7560 0.2440 0.2440 Nb
0.7930 0.9329 0.0671 Nb
0.8323 0.5898 0.4102 Nb
0.9089 0.3308 0.6692 Nb
0.9329 0.7930 0.2070 Nb
0.0000 0.0000 0.5000 Fe
0.0000 0.5000 0.0000 Fe
0.1341 0.8659 0.1341 Fe
0.5000 0.0000 0.5000 Fe
0.5000 0.5000 0.0000 Fe
0.8659 0.1341 0.8659 Fe
0.0000 0.5000 0.5000 Ge
0.3696 0.3696 0.6304 Ge
0.5000 0.0000 0.0000 Ge
0.6304 0.6304 0.3696 Ge
```

Top 10 peaks for 2θ from 10° to 90°, sorted by position:
2θ (°)  I_rel
35.60  677
37.73  1000
37.87  794
40.10  575
40.23  584
40.45  611
42.27  562
42.41  496
44.60  521
44.87  426

NbFe6Ge6: theoretical powder diffractogram (copper Kα), based on the PBE geometry in the Materials Project.
Kinematic intensities with the Lorentz-polarization factor, no thermal factor.

Structural model:
```
NbFe6Ge6
1.0
5.0350 0.0000 0.0000
-2.5175 4.3605 0.0000
0.0000 0.0000 8.0829
Nb Fe Ge
1 6 6
Direct
0.0000 0.0000 0.0000 Nb
0.0000 0.5000 0.2493 Fe
0.0000 0.5000 0.7507 Fe
0.5000 0.0000 0.2493 Fe
0.5000 0.0000 0.7507 Fe
0.5000 0.5000 0.2493 Fe
0.5000 0.5000 0.7507 Fe
0.0000 0.0000 0.3374 Ge
0.0000 0.0000 0.6626 Ge
0.3333 0.6667 0.0000 Ge
0.3333 0.6667 0.5000 Ge
0.6667 0.3333 0.0000 Ge
0.6667 0.3333 0.5000 Ge
```

Top 10 peaks for 2θ from 10° to 90°, sorted by position:
2θ (°)  I_rel
35.66  753
39.31  381
41.41  535
42.30  1000
44.85  306
47.38  804
49.73  210
68.62  224
75.53  338
80.94  313

Nd2FeGe4: theoretical powder diffractogram (copper Kα), based on the PBE geometry in the Materials Project.
Kinematic intensities with the Lorentz-polarization factor, no thermal factor.

Structural model:
```
Nd2FeGe4
1.0
4.2597 0.0000 0.0000
0.0000 4.3171 0.0000
0.0000 0.0000 16.1283
Nd Fe Ge
4 2 8
Direct
0.0000 0.0000 0.0000 Nd
0.0000 0.5000 0.5000 Nd
0.5000 0.0000 0.2053 Nd
0.5000 0.5000 0.7053 Nd
0.0000 0.0000 0.7992 Fe
0.0000 0.5000 0.2992 Fe
0.0000 0.0000 0.3581 Ge
0.0000 0.0000 0.6532 Ge
0.0000 0.5000 0.1532 Ge
0.0000 0.5000 0.8581 Ge
0.5000 0.0000 0.5502 Ge
0.5000 0.0000 0.8553 Ge
0.5000 0.5000 0.0502 Ge
0.5000 0.5000 0.3553 Ge
```

Top 10 peaks for 2θ from 10° to 90°, sorted by position:
2θ (°)  I_rel
23.62  118
33.33  154
33.94  1000
34.72  211
39.65  176
41.85  221
42.44  212
61.13  141
71.41  229
72.24  171

NdFeGe: theoretical powder diffractogram (copper Kα), based on the PBE geometry in the Materials Project.
Kinematic intensities with the Lorentz-polarization factor, no thermal factor.

Structural model:
```
NdFeGe
1.0
4.2057 0.0000 0.0000
-2.1028 3.6422 0.0000
0.0000 0.0000 4.1243
Nd Fe Ge
1 1 1
Direct
0.0000 0.0000 0.0000 Nd
0.3333 0.6667 0.5000 Fe
0.6667 0.3333 0.5000 Ge
```

Top 10 peaks for 2θ from 10° to 90°, sorted by position:
2θ (°)  I_rel
24.44  142
32.80  1000
43.01  405
43.91  127
55.13  224
63.15  252
72.37  196
73.65  93
78.84  66
89.27  58

NdFe2Ge2: theoretical powder diffractogram (copper Kα), based on the PBE geometry in the Materials Project.
Kinematic intensities with the Lorentz-polarization factor, no thermal factor.

Structural model:
```
NdFe2Ge2
1.0
4.0329 0.0000 0.0000
0.0000 4.0329 0.0000
0.0000 0.0000 10.7755
Nd Fe Ge
2 4 4
Direct
0.0000 0.0000 0.0000 Nd
0.5000 0.5000 0.5000 Nd
0.0000 0.5000 0.2500 Fe
0.0000 0.5000 0.7500 Fe
0.5000 0.0000 0.2500 Fe
0.5000 0.0000 0.7500 Fe
0.0000 0.0000 0.3784 Ge
0.0000 0.0000 0.6216 Ge
0.5000 0.5000 0.1216 Ge
0.5000 0.5000 0.8784 Ge
```

Top 10 peaks for 2θ from 10° to 90°, sorted by position:
2θ (°)  I_rel
31.37  301
33.41  977
35.62  1000
44.95  605
47.86  408
57.14  457
65.46  190
67.75  285
76.81  197
86.99  171

FeNiGe: theoretical powder diffractogram (copper Kα), based on the PBE geometry in the Materials Project.
Kinematic intensities with the Lorentz-polarization factor, no thermal factor.

Structural model:
```
FeNiGe
1.0
4.0689 0.0000 0.0000
-2.0344 3.5237 0.0000
0.0000 0.0000 5.0833
Fe Ni Ge
2 2 2
Direct
0.0000 0.0000 0.0000 Fe
0.0000 0.0000 0.5000 Fe
0.3333 0.6667 0.2500 Ni
0.6667 0.3333 0.7500 Ni
0.3333 0.6667 0.7500 Ge
0.6667 0.3333 0.2500 Ge
```

Top 10 peaks for 2θ from 10° to 90°, sorted by position:
2θ (°)  I_rel
25.27  13
30.88  10
35.31  109
43.92  873
44.54  1000
58.07  153
64.34  259
74.69  65
81.61  253
82.04  151

FeNi2Ge: theoretical powder diffractogram (copper Kα), based on the PBE geometry in the Materials Project.
Kinematic intensities with the Lorentz-polarization factor, no thermal factor.

Structural model:
```
FeNi2Ge
1.0
3.5180 0.0000 0.0000
0.0000 3.5180 0.0000
0.0000 0.0000 3.6753
Fe Ni Ge
1 2 1
Direct
0.0000 0.0000 0.0000 Fe
0.0000 0.5000 0.5000 Ni
0.5000 0.0000 0.5000 Ni
0.5000 0.5000 0.0000 Ge
```

Top 8 peaks for 2θ from 10° to 90°, sorted by position:
2θ (°)  I_rel
25.32  8
35.32  7
43.95  1000
49.61  172
51.99  297
74.70  187
76.60  87
89.09  118

FeNiGe: theoretical powder diffractogram (copper Kα), based on the PBE geometry in the Materials Project.
Kinematic intensities with the Lorentz-polarization factor, no thermal factor.

Structural model:
```
FeNiGe
1.0
4.0758 0.0000 0.0000
-2.0379 3.5298 0.0000
0.0000 0.0000 4.9888
Fe Ni Ge
2 2 2
Direct
0.3333 0.6667 0.2500 Fe
0.6667 0.3333 0.7500 Fe
0.0000 0.0000 0.0000 Ni
0.0000 0.0000 0.5000 Ni
0.3333 0.6667 0.7500 Ge
0.6667 0.3333 0.2500 Ge
```

Top 7 peaks for 2θ from 10° to 90°, sorted by position:
2θ (°)  I_rel
31.04  14
36.01  39
44.46  1000
58.48  56
64.70  142
76.36  33
81.88  221